Computed X-ray powder pattern of Li9Mn7O16 for copper Kα, from a cell relaxed with GGA+U.
Peak positions follow from Bragg's law for the DFT cell and can differ from measured ones.

Structure:
a = 5.2771 Å, b = 11.4764 Å, c = 5.3378 Å
α = 90.00°, β = 113.52°, γ = 90.00°
Space group P2/m (No. 10)
Unique sites:
1 Li 0.0000 0.0000 0.0000 (multiplicity 1)
2 Li 0.0000 0.1213 0.5000 (multiplicity 2)
3 Li 0.0000 0.2482 0.0000 (multiplicity 2)
4 Li 0.0000 0.3759 0.5000 (multiplicity 2)
5 Li 0.0000 0.5000 0.0000 (multiplicity 1)
6 Li 0.5000 0.0000 0.5000 (multiplicity 1)
7 Mn 0.5000 0.1234 0.0000 (multiplicity 2)
8 Mn 0.5000 0.2470 0.5000 (multiplicity 2)
9 Mn 0.5000 0.3738 0.0000 (multiplicity 2)
10 Mn 0.5000 0.5000 0.5000 (multiplicity 1)
11 O 0.2636 0.0000 0.7803 (multiplicity 2)
12 O 0.2647 0.2473 0.7744 (multiplicity 4)
13 O 0.2654 0.5000 0.7787 (multiplicity 2)
14 O 0.2672 0.3748 0.2758 (multiplicity 4)
15 O 0.2917 0.1298 0.2354 (multiplicity 4)

Most intense lines, 2θ from 10° to 90°, sorted by position:
| hkl | Position (°2θ) | d_spacing | I_rel |
| --- | --- | --- | --- |
| 1 0 0 | 18.34 | 4.839 | 1000 |
| 1 0 -2 | 33.81 | 2.651 | 186 |
| 0 4 1 | 36.29 | 2.475 | 235 |
| 2 0 -2 | 40.65 | 2.219 | 356 |
| 1 4 1 | 44.34 | 2.043 | 552 |
| 2 4 -1 | 46.92 | 1.936 | 98 |
| 2 4 1 | 58.48 | 1.578 | 92 |
| 1 4 -3 | 61.42 | 1.510 | 169 |
| 3 4 -1 | 62.01 | 1.497 | 163 |
| 0 8 0 | 65.01 | 1.435 | 74 |